# 1
Calculated powder XRD pattern of K2MgClF3 for a wavelength of 1.5418 Å, from the PBE geometry in Alexandria.
Lines closer than 0.1° are merged.

Atomic structure:
```
data_K2MgClF3
_chemical_formula_sum 'K4 Mg2 Cl2 F6'
_symmetry_space_group_name_H-M 'I m m m'
_symmetry_Int_Tables_number 71
_symmetry_space_group_name_Hall '-I 2 2'
_cell_length_a 4.079
_cell_length_b 4.961
_cell_length_c 13.491
_cell_angle_alpha 90.00
_cell_angle_beta 90.00
_cell_angle_gamma 90.00
loop_
_atom_site_label
_atom_site_type_symbol
_atom_site_fract_x
_atom_site_fract_y
_atom_site_fract_z
K1 K 0.000 0.000 0.161
Mg1 Mg 0.000 0.000 0.500
Cl1 Cl 0.000 0.500 0.500
F1 F 0.000 0.000 0.350
F2 F 0.000 0.500 0.000
```

Principal peaks in the range 2θ from 5° to 70°, in order of rising 2θ:
2θ = 13.13°, rel. 41, hkl 0 0 2
2θ = 26.76°, rel. 32, hkl 0 1 3
2θ = 28.33°, rel. 82, hkl 1 1 0
2θ = 29.57°, rel. 63, hkl 1 0 3
2θ = 31.34°, rel. 92, hkl 1 1 2
2θ = 36.21°, rel. 100, hkl 0 2 0
2θ = 39.13°, rel. 95, hkl 1 1 4
2θ = 40.10°, rel. 66, hkl 0 0 6
2θ = 44.42°, rel. 52, hkl 2 0 0
2θ = 47.42°, rel. 31, hkl 1 2 3
2θ = 55.13°, rel. 46, hkl 0 2 6
2θ = 58.60°, rel. 40, hkl 2 2 0

***

# 2
Calculated powder XRD pattern of K3NbCl2F6 for a wavelength of 1.5418 Å, from the PBE geometry in Alexandria.
Lines closer than 0.1° are merged.

Atomic structure:
```
data_K3NbCl2F6
_chemical_formula_sum 'K3 Nb1 Cl2 F6'
_symmetry_space_group_name_H-M 'P -1'
_symmetry_Int_Tables_number 2
_cell_length_a 4.769
_cell_length_b 7.711
_cell_length_c 8.711
_cell_angle_alpha 116.27
_cell_angle_beta 92.11
_cell_angle_gamma 90.07
loop_
_symmetry_equiv_pos_as_xyz
'x,y,z'
'-x,-y,-z'
loop_
_atom_site_label
_atom_site_type_symbol
_atom_site_fract_x
_atom_site_fract_y
_atom_site_fract_z
K1 K 0.000 0.000 0.000
K2 K 0.000 0.500 0.000
K3 K 0.500 0.000 0.500
Nb1 Nb 0.000 0.500 0.500
Cl1 Cl 0.487 0.806 0.111
F1 F 0.161 0.388 0.275
F2 F 0.248 0.357 0.581
F3 F 0.253 0.723 0.583
```

Principal peaks in the range 2θ from 5° to 70°, in order of rising 2θ:
2θ = 11.34°, rel. 20, hkl 0 0 1
2θ = 12.80°, rel. 50, hkl 0 1 -1
2θ = 20.59°, rel. 30, hkl 0 1 -2
2θ = 22.47°, rel. 48, hkl 1 -1 0
2θ = 22.83°, rel. 100, hkl 0 0 2
2θ = 25.77°, rel. 17, hkl 0 2 -2
2θ = 28.97°, rel. 12, hkl 1 0 -2
2θ = 32.27°, rel. 43, hkl 1 2 0
2θ = 35.67°, rel. 25, hkl 1 1 -3
2θ = 40.40°, rel. 15, hkl 1 -3 2
2θ = 41.89°, rel. 16, hkl 0 2 -4
2θ = 56.58°, rel. 12, hkl -2 2 2

***

# 3
Calculated powder XRD pattern of K12ClO3F4 for a wavelength of 1.5418 Å, from the PBE geometry in Alexandria.
Lines closer than 0.1° are merged.

Atomic structure:
```
data_K12ClO3F4
_chemical_formula_sum 'K24 Cl2 O6 F8'
_symmetry_space_group_name_H-M 'I m -3'
_symmetry_Int_Tables_number 204
_symmetry_space_group_name_Hall '-I 2 2 3'
_cell_length_a 10.080
_cell_length_b 10.080
_cell_length_c 10.080
_cell_angle_alpha 90.00
_cell_angle_beta 90.00
_cell_angle_gamma 90.00
loop_
_atom_site_label
_atom_site_type_symbol
_atom_site_fract_x
_atom_site_fract_y
_atom_site_fract_z
K1 K 0.000 0.320 0.180
Cl1 Cl 0.000 0.000 0.000
O1 O 0.000 0.000 0.500
F1 F 0.250 0.250 0.250
```

Principal peaks in the range 2θ from 5° to 70°, in order of rising 2θ:
2θ = 27.99°, rel. 100, hkl 3 0 1
2θ = 30.73°, rel. 18, hkl 2 2 2
2θ = 33.26°, rel. 59, hkl 3 1 2
2θ = 35.63°, rel. 15, hkl 4 0 0
2θ = 40.00°, rel. 7, hkl 4 2 0
2θ = 42.05°, rel. 9, hkl 3 3 2
2θ = 44.01°, rel. 31, hkl 4 2 2
2θ = 45.91°, rel. 9, hkl 4 3 1
2θ = 52.97°, rel. 29, hkl 5 3 0
2θ = 54.63°, rel. 11, hkl 6 0 0
2θ = 56.26°, rel. 21, hkl 5 2 3
2θ = 62.49°, rel. 13, hkl 6 1 3

***

# 4
Calculated powder XRD pattern of K2PClF5 for a wavelength of 1.5418 Å, from the PBE geometry in Alexandria.
Lines closer than 0.1° are merged.

Atomic structure:
```
data_K2PClF5
_chemical_formula_sum 'K4 P2 Cl2 F10'
_symmetry_space_group_name_H-M 'I 4 m m'
_symmetry_Int_Tables_number 107
_symmetry_space_group_name_Hall 'I 4 -2'
_cell_length_a 6.279
_cell_length_b 6.279
_cell_length_c 8.841
_cell_angle_alpha 90.00
_cell_angle_beta 90.00
_cell_angle_gamma 90.00
loop_
_atom_site_label
_atom_site_type_symbol
_atom_site_fract_x
_atom_site_fract_y
_atom_site_fract_z
K1 K 0.000 0.500 0.000
P1 P 0.000 0.000 0.262
Cl1 Cl 0.000 0.000 0.956
F1 F 0.000 0.000 0.451
F2 F 0.196 0.196 0.268
```

Principal peaks in the range 2θ from 5° to 70°, in order of rising 2θ:
2θ = 17.32°, rel. 79, hkl 1 0 1
2θ = 20.08°, rel. 17, hkl 0 0 2
2θ = 28.46°, rel. 89, hkl 2 0 0
2θ = 33.59°, rel. 23, hkl 1 0 3
2θ = 35.06°, rel. 100, hkl 2 0 2
2θ = 40.64°, rel. 57, hkl 2 2 0
2θ = 40.83°, rel. 25, hkl 0 0 4
2θ = 50.50°, rel. 13, hkl 2 0 4
2θ = 53.64°, rel. 12, hkl 3 2 1
2θ = 58.97°, rel. 22, hkl 2 2 4
2θ = 61.88°, rel. 13, hkl 3 2 3
2θ = 66.62°, rel. 19, hkl 4 2 0

***

# 5
Calculated powder XRD pattern of KPClF6 for a wavelength of 1.5418 Å, from the PBE geometry in Alexandria.
Lines closer than 0.1° are merged.

Atomic structure:
```
data_KPClF6
_chemical_formula_sum 'K1 P1 Cl1 F6'
_symmetry_space_group_name_H-M 'P 1'
_symmetry_Int_Tables_number 1
_cell_length_a 5.070
_cell_length_b 5.315
_cell_length_c 6.327
_cell_angle_alpha 68.43
_cell_angle_beta 77.46
_cell_angle_gamma 77.67
loop_
_symmetry_equiv_pos_as_xyz
'x,y,z'
loop_
_atom_site_label
_atom_site_type_symbol
_atom_site_fract_x
_atom_site_fract_y
_atom_site_fract_z
K1 K 0.000 0.000 0.000
P1 P 0.296 0.329 0.375
Cl1 Cl 0.703 0.646 0.821
F1 F 0.013 0.538 0.407
F2 F 0.140 0.065 0.521
F3 F 0.214 0.334 0.136
F4 F 0.377 0.332 0.608
F5 F 0.450 0.605 0.223
F6 F 0.581 0.132 0.330
```

Principal peaks in the range 2θ from 5° to 70°, in order of rising 2θ:
2θ = 15.24°, rel. 34, hkl 0 0 1
2θ = 18.13°, rel. 56, hkl 0 1 0
2θ = 19.39°, rel. 42, hkl 0 1 1
2θ = 21.88°, rel. 32, hkl 1 0 1
2θ = 22.92°, rel. 100, hkl 1 1 1
2θ = 25.51°, rel. 55, hkl 1 0 -1
2θ = 27.51°, rel. 36, hkl 0 1 -1
2θ = 27.62°, rel. 83, hkl 1 -1 0
2θ = 33.34°, rel. 36, hkl 1 -1 1
2θ = 38.34°, rel. 36, hkl 1 0 -2
2θ = 38.67°, rel. 53, hkl 1 2 0
2θ = 43.80°, rel. 37, hkl 1 1 3

***

# 6
Calculated powder XRD pattern of KPuClF2 for a wavelength of 1.5418 Å, from the PBE geometry in Alexandria.
Lines closer than 0.1° are merged.

Atomic structure:
```
data_KPuClF2
_chemical_formula_sum 'K1 Pu1 Cl1 F2'
_symmetry_space_group_name_H-M 'P m m 2'
_symmetry_Int_Tables_number 25
_cell_length_a 4.231
_cell_length_b 4.248
_cell_length_c 6.872
_cell_angle_alpha 90.00
_cell_angle_beta 90.00
_cell_angle_gamma 90.00
loop_
_symmetry_equiv_pos_as_xyz
'x,y,z'
'-x,-y,z'
'-x,y,z'
'x,-y,z'
loop_
_atom_site_label
_atom_site_type_symbol
_atom_site_fract_x
_atom_site_fract_y
_atom_site_fract_z
K1 K 0.000 0.000 0.000
Pu1 Pu 0.500 0.500 0.423
Cl1 Cl 0.500 0.500 0.823
F1 F 0.000 0.500 0.268
F2 F 0.500 0.000 0.270
```

Principal peaks in the range 2θ from 5° to 70°, in order of rising 2θ:
2θ = 12.88°, rel. 65, hkl 0 0 1
2θ = 20.95°, rel. 65, hkl 1 0 0
2θ = 24.67°, rel. 100, hkl 1 0 1
2θ = 25.93°, rel. 25, hkl 0 0 2
2θ = 29.80°, rel. 39, hkl 1 1 0
2θ = 32.59°, rel. 19, hkl 1 1 1
2θ = 33.57°, rel. 42, hkl 1 0 2
2θ = 39.91°, rel. 39, hkl 1 1 2
2θ = 44.98°, rel. 23, hkl 1 0 3
2θ = 49.84°, rel. 16, hkl 1 2 1
2θ = 50.12°, rel. 19, hkl 1 1 3
2θ = 63.72°, rel. 17, hkl 2 1 3

***

# 7
Calculated powder XRD pattern of KRb2Cl2F6 for a wavelength of 1.5418 Å, from the PBE geometry in Alexandria.
Lines closer than 0.1° are merged.

Atomic structure:
```
data_KRb2Cl2F6
_chemical_formula_sum 'K1 Rb2 Cl2 F6'
_symmetry_space_group_name_H-M 'P -3'
_symmetry_Int_Tables_number 147
_cell_length_a 7.0287
_cell_length_b 7.0287
_cell_length_c 6.8068
_cell_angle_alpha 90.00
_cell_angle_beta 90.00
_cell_angle_gamma 120.00
loop_
_symmetry_equiv_pos_as_xyz
'x,y,z'
'-x,-y,-z'
'-y,x-y,z'
'y,-x+y,-z'
'-x+y,-x,z'
'x-y,x,-z'
loop_
_atom_site_label
_atom_site_type_symbol
_atom_site_fract_x
_atom_site_fract_y
_atom_site_fract_z
K1 K 0.0000 0.0000 0.0000
Rb1 Rb 0.3333 0.6667 0.2981
Cl1 Cl 0.3333 0.6667 0.7890
F1 F 0.0545 0.3423 0.7790
```

Principal peaks in the range 2θ from 5° to 70°, in order of rising 2θ:
2θ = 14.55°, rel. 39, hkl 1 0 0
2θ = 19.56°, rel. 49, hkl 0 1 1
2θ = 25.34°, rel. 100, hkl 1 1 0
2θ = 26.18°, rel. 45, hkl 0 0 2
2θ = 28.59°, rel. 24, hkl 2 -1 1
2θ = 30.08°, rel. 81, hkl 1 0 2
2θ = 32.22°, rel. 37, hkl 2 0 1
2θ = 39.73°, rel. 40, hkl 0 2 2
2θ = 44.66°, rel. 51, hkl 3 0 0
2θ = 47.71°, rel. 60, hkl 2 1 2
2θ = 52.51°, rel. 26, hkl 3 0 2
2θ = 68.60°, rel. 24, hkl 2 1 4

***

# 8
Calculated powder XRD pattern of K2ReCl5F for a wavelength of 1.5418 Å, from the PBE geometry in Alexandria.
Lines closer than 0.1° are merged.

Atomic structure:
```
data_K2ReCl5F
_chemical_formula_sum 'K4 Re2 Cl10 F2'
_symmetry_space_group_name_H-M 'I 4 m m'
_symmetry_Int_Tables_number 107
_symmetry_space_group_name_Hall 'I 4 -2'
_cell_length_a 7.091
_cell_length_b 7.091
_cell_length_c 9.718
_cell_angle_alpha 90.00
_cell_angle_beta 90.00
_cell_angle_gamma 90.00
loop_
_atom_site_label
_atom_site_type_symbol
_atom_site_fract_x
_atom_site_fract_y
_atom_site_fract_z
K1 K 0.000 0.500 0.000
Re1 Re 0.000 0.000 0.249
Cl1 Cl 0.000 0.000 0.006
Cl2 Cl 0.237 0.237 0.251
F1 F 0.000 0.000 0.453
```

Principal peaks in the range 2θ from 5° to 70°, in order of rising 2θ:
2θ = 15.47°, rel. 100, hkl 1 0 1
2θ = 17.69°, rel. 22, hkl 1 1 0
2θ = 18.26°, rel. 16, hkl 0 0 2
2θ = 25.12°, rel. 12, hkl 2 0 0
2θ = 25.53°, rel. 34, hkl 1 1 2
2θ = 29.63°, rel. 33, hkl 2 1 1
2θ = 30.34°, rel. 15, hkl 1 0 3
2θ = 35.82°, rel. 32, hkl 2 2 0
2θ = 37.00°, rel. 14, hkl 0 0 4
2θ = 44.50°, rel. 15, hkl 3 1 2
2θ = 47.15°, rel. 14, hkl 3 2 1
2θ = 52.45°, rel. 19, hkl 2 2 4